Structure and theoretical X-ray powder pattern of HfTcAsH2 (a crystal structure in Alexandria, relaxed with PBE; Cu Ka).

Atomic structure:
abc: 3.8983 9.3467 6.1290
angles: 90.00 90.00 90.00
Space group Cmcm (No. 63)
Symmetry-distinct sites (fractional):
1 Hf 0.0000 0.2215 0.2500 [4 per cell]
2 Tc 0.0000 0.5000 0.0000 [4 per cell]
3 As 0.0000 0.0706 0.7500 [4 per cell]
4 H 0.0000 0.3141 0.5637 [8 per cell]

The 8 most intense peaks (2θ = 5–70°), in order of falling intensity:
Position (°2θ)	d (Å)	intensity	(hkl)
38.58	2.334	100	0 4 0
39.85	2.262	88	1 3 1
28.77	3.103	79	1 1 1
35.01	2.563	57	0 2 2
46.60	1.949	35	2 0 0
36.93	2.434	31	1 3 0
41.35	2.183	29	0 4 1
59.03	1.565	28	1 3 3

---

Structure and theoretical X-ray powder pattern of K5Br2Cl3 (a crystal structure in Alexandria, relaxed with PBE; Cu Ka).

Atomic structure:
abc: 16.5118 4.4691 11.8884
angles: 90.00 126.42 90.00
Space group C2/m (No. 12)
Symmetry-distinct sites (fractional):
1 K 0.0000 0.0000 0.0000 [2 per cell]
2 K 0.0925 0.0000 0.4109 [4 per cell]
3 K 0.2027 0.5000 0.8075 [4 per cell]
4 Br 0.1752 0.5000 0.2729 [4 per cell]
5 Cl 0.0000 0.5000 0.5000 [2 per cell]
6 Cl 0.1133 0.0000 0.8771 [4 per cell]

The 8 most intense peaks (2θ = 5–70°), in order of falling intensity:
Position (°2θ)	d (Å)	intensity	(hkl)
26.55	3.358	100	3 1 -2
28.75	3.105	54	2 0 2
35.28	2.544	27	6 0 -4
39.61	2.275	27	1 1 -4
39.45	2.284	25	5 1 0
40.36	2.235	24	0 2 0
50.31	1.814	20	2 2 2
28.37	3.146	18	3 1 0

---

Structure and theoretical X-ray powder pattern of InP3 (a crystal structure in Alexandria, relaxed with PBE; Cu Ka).

Atomic structure:
abc: 4.5473 3.6257 4.8905
angles: 90.00 108.40 90.00
Space group P2/m (No. 10)
Symmetry-distinct sites (fractional):
1 In 0.0000 0.0000 0.0000 [1 per cell]
2 P 0.2223 0.5000 0.6714 [2 per cell]
3 P 0.5000 0.0000 0.5000 [1 per cell]

The 8 most intense peaks (2θ = 5–70°), in order of falling intensity:
Position (°2θ)	d (Å)	intensity	(hkl)
34.10	2.629	100	1 1 -1
32.49	2.756	52	1 0 1
31.31	2.857	39	0 1 1
20.58	4.315	38	1 0 0
49.14	1.854	33	2 1 0
46.47	1.954	31	0 1 2
61.18	1.515	24	3 0 -1
23.30	3.818	24	1 0 -1

---

Structure and theoretical X-ray powder pattern of Cs2KInI6 (a crystal structure in Alexandria, relaxed with PBE; Cu Ka).

Atomic structure:
abc: 12.6500 12.6500 12.6500
angles: 90.00 90.00 90.00
Space group Fm-3m (No. 225)
Symmetry-distinct sites (fractional):
1 Cs 0.2500 0.2500 0.2500 [8 per cell]
2 K 0.0000 0.0000 0.0000 [4 per cell]
3 In 0.0000 0.0000 0.5000 [4 per cell]
4 I 0.0000 0.0000 0.2673 [24 per cell]

The 8 most intense peaks (2θ = 5–70°), in order of falling intensity:
Position (°2θ)	d (Å)	intensity	(hkl)
24.37	3.652	100	2 2 2
28.22	3.162	97	4 0 0
40.33	2.236	70	4 4 0
47.69	1.907	43	6 2 2
66.06	1.414	28	8 4 0
49.95	1.826	24	4 4 4
12.12	7.303	17	1 1 1
64.18	1.451	16	6 6 2

---

Structure and theoretical X-ray powder pattern of K5TcO4F2 (a crystal structure in Alexandria, relaxed with PBE; Cu Ka).

Atomic structure:
abc: 7.6395 10.2142 6.3760
angles: 90.00 90.00 90.00
Space group Amm2 (No. 38)
Symmetry-distinct sites (fractional):
1 K 0.0000 0.0000 0.0000 [2 per cell]
2 K 0.2595 0.1869 0.4924 [8 per cell]
3 Tc 0.5000 0.0000 0.0061 [2 per cell]
4 O 0.3069 0.0000 0.1839 [4 per cell]
5 O 0.5000 0.1449 0.8298 [4 per cell]
6 F 0.0000 0.2051 0.7588 [4 per cell]

The 8 most intense peaks (2θ = 5–70°), in order of falling intensity:
Position (°2θ)	d (Å)	intensity	(hkl)
28.61	3.120	100	2 1 1
29.75	3.003	93	0 3 1
40.89	2.207	76	2 2 2
16.39	5.409	47	0 1 1
29.20	3.059	37	2 2 0
27.99	3.188	29	0 0 2
52.81	1.734	29	2 5 1
11.58	7.640	27	1 0 0

---

Structure and theoretical X-ray powder pattern of Rb2Nb3F9 (a crystal structure in Alexandria, relaxed with PBE; Cu Ka).

Atomic structure:
abc: 9.0524 15.2217 8.4633
angles: 90.00 115.18 90.00
Space group C2/m (No. 12)
Symmetry-distinct sites (fractional):
1 Rb 0.1086 0.1612 0.3107 [8 per cell]
2 Nb 0.1303 0.5000 0.8622 [4 per cell]
3 Nb 0.1430 0.4086 0.1543 [8 per cell]
4 F 0.0000 0.3016 0.0000 [4 per cell]
5 F 0.0112 0.3991 0.3098 [8 per cell]
6 F 0.1884 0.0000 0.6702 [4 per cell]
7 F 0.2020 0.1881 0.6745 [8 per cell]
8 F 0.2047 0.0997 0.9812 [8 per cell]
9 F 0.2242 0.0000 0.2742 [4 per cell]

The 8 most intense peaks (2θ = 5–70°), in order of falling intensity:
Position (°2θ)	d (Å)	intensity	(hkl)
11.59	7.635	100	0 0 1
13.34	6.637	85	1 1 -1
12.27	7.214	73	1 1 0
37.38	2.406	67	2 4 1
27.46	3.248	57	1 3 -2
42.22	2.141	52	1 5 2
16.42	5.399	51	0 2 1
19.78	4.488	51	2 0 -1